[1]
Diffraction record for Li5Si2BiO8. The X-ray powder pattern is calculated, not measured: it uses a structure optimized by DFT (PBE) and Cu Kα (λ = 1.5418 Å).

Most intense lines, 10 to 90 degrees two-theta, low angle first:
two_theta	d [Å]	I (rel.)
13.72	6.456	75
16.29	5.441	100
21.16	4.199	91
21.55	4.123	47
32.51	2.754	40
32.93	2.720	53

Structural model:
```
Li5Si2BiO8
1.0
3.762 -3.939 0.000
3.762 3.939 0.000
-0.164 0.000 6.456
Li Si Bi O
5 2 1 8
Direct
0.000 0.000 0.000
0.351 0.649 0.000
0.512 0.140 0.218
0.860 0.488 0.782
0.966 0.034 0.500
0.512 0.144 0.761
0.856 0.488 0.239
0.358 0.642 0.500
0.375 0.003 0.950
0.376 0.062 0.529
0.481 0.449 0.781
0.551 0.519 0.219
0.808 0.113 0.754
0.887 0.192 0.246
0.938 0.624 0.471
0.997 0.625 0.050
```

---

[2]
Diffraction record for Li3Si2Bi3O10. The X-ray powder pattern is calculated, not measured: it uses a structure optimized by DFT (PBE) and Cu Kα (λ = 1.5418 Å).

Most intense lines, 10 to 90 degrees two-theta, low angle first:
two_theta	d [Å]	I (rel.)
14.56	6.085	63
20.83	4.265	100
24.74	3.599	42
29.36	3.042	61
30.50	2.931	40
33.00	2.715	44

Structural model:
```
Li3Si2Bi3O10
1.0
5.432 0.000 0.000
0.000 6.893 0.000
-0.363 0.000 12.953
Li Si Bi O
6 4 6 20
Direct
0.000 0.021 0.000
0.000 0.979 0.500
0.517 0.449 0.786
0.517 0.551 0.286
0.984 0.243 0.693
0.984 0.757 0.193
0.464 0.232 0.572
0.464 0.768 0.072
0.985 0.300 0.228
0.985 0.700 0.728
0.030 0.468 0.937
0.030 0.532 0.437
0.503 0.001 0.322
0.503 0.999 0.822
0.529 0.245 0.051
0.529 0.755 0.551
0.122 0.111 0.280
0.122 0.889 0.780
0.126 0.494 0.765
0.126 0.506 0.265
0.181 0.162 0.580
0.181 0.838 0.080
0.241 0.200 0.925
0.241 0.800 0.425
0.468 0.444 0.512
0.468 0.556 0.012
0.611 0.236 0.686
0.611 0.764 0.186
0.625 0.080 0.496
0.625 0.920 0.996
0.699 0.307 0.270
0.699 0.693 0.770
0.723 0.272 0.904
0.723 0.728 0.404
0.968 0.287 0.100
0.968 0.713 0.600
```